Entry 1:
# Tb2SmEr12
Theoretical X-ray powder pattern, Cu Ka. Input: DFT lattice parameters and positions (PBE).
Neutral-atom scattering factors, no anomalous dispersion.

Structural model:
```
data_Tb2SmEr12
_chemical_formula_sum 'Tb4 Sm2 Er24'
_cell_length_a 6.558
_cell_length_b 6.558
_cell_length_c 24.164
_cell_angle_alpha 92.22
_cell_angle_beta 92.22
_cell_angle_gamma 114.93
_symmetry_space_group_name_H-M 'P 1'
_symmetry_Int_Tables_number 1
_symmetry_space_group_name_Hall 'P 1'
loop_
_atom_site_label
_atom_site_type_symbol
_atom_site_fract_x
_atom_site_fract_y
_atom_site_fract_z
Tb1 Tb 0.066 0.066 0.272
Tb2 Tb 0.431 0.431 0.728
Tb3 Tb 0.569 0.569 0.272
Tb4 Tb 0.934 0.934 0.728
Sm1 Sm 0.250 0.250 0.000
Sm2 Sm 0.750 0.750 0.000
Er1 Er 0.050 0.551 0.202
Er2 Er 0.084 0.581 0.331
Er3 Er 0.140 0.636 0.555
Er4 Er 0.141 0.141 0.575
Er5 Er 0.215 0.215 0.862
Er6 Er 0.231 0.731 0.925
Er7 Er 0.269 0.769 0.075
Er8 Er 0.285 0.285 0.138
Er9 Er 0.356 0.356 0.428
Er10 Er 0.364 0.860 0.445
Er11 Er 0.419 0.916 0.669
Er12 Er 0.449 0.950 0.798
Er13 Er 0.551 0.050 0.202
Er14 Er 0.581 0.084 0.331
Er15 Er 0.636 0.140 0.555
Er16 Er 0.644 0.644 0.572
Er17 Er 0.715 0.715 0.862
Er18 Er 0.731 0.231 0.925
Er19 Er 0.769 0.269 0.075
Er20 Er 0.785 0.785 0.138
Er21 Er 0.859 0.859 0.425
Er22 Er 0.860 0.364 0.445
Er23 Er 0.916 0.419 0.669
Er24 Er 0.950 0.449 0.798
```

Peak list (6 most intense, 10° ≤ 2θ ≤ 90°, by angle)
2θ (°)  d [Å]  Rel. int.
30.58  2.923  100
31.48  2.842  44
32.38  2.765  68
32.59  2.748  37
32.81  2.730  67
33.89  2.645  33

---

Entry 2:
# Tl3Sn6Au
Theoretical X-ray powder pattern, Cu Ka. Input: DFT lattice parameters and positions (PBE).
Neutral-atom scattering factors, no anomalous dispersion.

Structural model:
```
data_Tl3Sn6Au
_chemical_formula_sum 'Tl6 Sn12 Au2'
_cell_length_a 8.470
_cell_length_b 8.470
_cell_length_c 8.470
_cell_angle_alpha 77.88
_cell_angle_beta 77.88
_cell_angle_gamma 77.88
_symmetry_space_group_name_H-M 'P 1'
_symmetry_Int_Tables_number 1
_symmetry_space_group_name_Hall 'P 1'
loop_
_atom_site_label
_atom_site_type_symbol
_atom_site_fract_x
_atom_site_fract_y
_atom_site_fract_z
Tl1 Tl 0.134 0.134 0.478
Tl2 Tl 0.134 0.478 0.134
Tl3 Tl 0.478 0.134 0.134
Tl4 Tl 0.522 0.866 0.866
Tl5 Tl 0.866 0.522 0.866
Tl6 Tl 0.866 0.866 0.522
Sn1 Sn 0.161 0.534 0.534
Sn2 Sn 0.171 0.780 0.780
Sn3 Sn 0.220 0.220 0.829
Sn4 Sn 0.220 0.829 0.220
Sn5 Sn 0.466 0.466 0.839
Sn6 Sn 0.466 0.839 0.466
Sn7 Sn 0.534 0.161 0.534
Sn8 Sn 0.534 0.534 0.161
Sn9 Sn 0.780 0.171 0.780
Sn10 Sn 0.780 0.780 0.171
Sn11 Sn 0.829 0.220 0.220
Sn12 Sn 0.839 0.466 0.466
Au1 Au 0.000 0.000 0.000
Au2 Au 0.500 0.500 0.500
```

Peak list (6 most intense, 10° ≤ 2θ ≤ 90°, by angle)
2θ (°)  d [Å]  Rel. int.
27.55  3.237  13
30.69  2.914  21
32.95  2.719  100
42.76  2.115  28
51.50  1.775  21
56.00  1.642  21

---

Entry 3:
# RbNb4Cl11
Theoretical X-ray powder pattern, Cu Ka. Input: DFT lattice parameters and positions (PBE).
Neutral-atom scattering factors, no anomalous dispersion.

Structural model:
```
data_RbNb4Cl11
_chemical_formula_sum 'Rb2 Nb8 Cl22'
_cell_length_a 16.320
_cell_length_b 7.026
_cell_length_c 7.060
_cell_angle_alpha 90.00
_cell_angle_beta 90.00
_cell_angle_gamma 90.00
_symmetry_space_group_name_H-M 'P 1'
_symmetry_Int_Tables_number 1
_symmetry_space_group_name_Hall 'P 1'
loop_
_atom_site_label
_atom_site_type_symbol
_atom_site_fract_x
_atom_site_fract_y
_atom_site_fract_z
Rb1 Rb 0.250 0.000 0.024
Rb2 Rb 0.750 0.000 0.976
Nb1 Nb 0.000 0.286 0.500
Nb2 Nb 0.000 0.714 0.500
Nb3 Nb 0.142 0.500 0.615
Nb4 Nb 0.358 0.500 0.615
Nb5 Nb 0.500 0.286 0.500
Nb6 Nb 0.500 0.714 0.500
Nb7 Nb 0.642 0.500 0.385
Nb8 Nb 0.858 0.500 0.385
Cl1 Cl 0.079 0.249 0.804
Cl2 Cl 0.079 0.751 0.804
Cl3 Cl 0.082 0.000 0.365
Cl4 Cl 0.084 0.500 0.293
Cl5 Cl 0.250 0.269 0.480
Cl6 Cl 0.250 0.500 0.890
Cl7 Cl 0.250 0.731 0.480
Cl8 Cl 0.416 0.500 0.293
Cl9 Cl 0.418 0.000 0.365
Cl10 Cl 0.421 0.249 0.804
Cl11 Cl 0.421 0.751 0.804
Cl12 Cl 0.579 0.249 0.196
Cl13 Cl 0.579 0.751 0.196
Cl14 Cl 0.582 0.000 0.635
Cl15 Cl 0.584 0.500 0.707
Cl16 Cl 0.750 0.269 0.520
Cl17 Cl 0.750 0.500 0.110
Cl18 Cl 0.750 0.731 0.520
Cl19 Cl 0.916 0.500 0.707
Cl20 Cl 0.918 0.000 0.635
Cl21 Cl 0.921 0.249 0.196
Cl22 Cl 0.921 0.751 0.196
```

Peak list (6 most intense, 10° ≤ 2θ ≤ 90°, by angle)
2θ (°)  d [Å]  Rel. int.
12.55  7.051  100
16.61  5.339  34
17.81  4.980  32
33.60  2.667  34
36.06  2.491  62
46.46  1.954  27